For Ta2CrNO5, a DFT-relaxed cell (PBE+U, Alexandria) gives the simulated X-ray diffraction stick pattern in this record (CuKα).

Crystal structure
```
data_Ta2CrNO5
_cell_length_a 6.7306
_cell_length_b 6.7358
_cell_length_c 9.2425
_cell_angle_alpha 90.00
_cell_angle_beta 90.48
_cell_angle_gamma 90.00
_space_group_name_H-M_alt 'C 1 m 1'
_space_group_IT_number 8
loop_
_space_group_symop_operation_xyz
'x,y,z'
'x,-y,z'
'x+1/2,y+1/2,z'
'x+1/2,-y+1/2,z'
loop_
_atom_site_label
_atom_site_type_symbol
_atom_site_fract_x
_atom_site_fract_y
_atom_site_fract_z
_atom_site_occupancy
Ta1 Ta 0.0000 0.0000 0.0000 1
Ta2 Ta 0.0050 0.0000 0.6700 1
Ta3 Ta 0.0095 0.5000 0.4928 1
Ta4 Ta 0.0256 0.5000 0.1556 1
Cr1 Cr 0.0155 0.5000 0.8245 1
Cr2 Cr 0.0179 0.0000 0.3258 1
N1 N 0.3168 0.5000 0.1599 1
N2 N 0.3183 0.5000 0.8243 1
O1 O 0.0114 0.3044 0.9943 1
O2 O 0.0155 0.3071 0.3266 1
O3 O 0.0175 0.3037 0.6531 1
O4 O 0.2123 0.0000 0.8212 1
O5 O 0.2135 0.0000 0.1570 1
O6 O 0.2184 0.0000 0.4925 1
O7 O 0.3206 0.5000 0.4941 1
```

Main lines, sorted by position (10° ≤ 2θ ≤ 80°):
- 4.222 Å, I 16.9, (1 1 1)
- 3.367 Å, I 100.0, (2 0 0)
- 2.593 Å, I 39.7, (1 1 -3)
- 2.579 Å, I 39.4, (1 1 3)
- 2.381 Å, I 24.7, (2 2 0)
- 1.754 Å, I 16.2, (1 3 -3)
- 1.750 Å, I 16.3, (1 3 3)
- 1.683 Å, I 15.8, (0 4 0)